Sr3Zn3Ga8: simulated X-ray powder pattern (Cu Kα (weighted mean of Kα1 and Kα2)), based on a crystal structure in Alexandria, relaxed with GGA-PBE.

Structure:
abc: 8.567 8.567 8.567
angles: 149.46 109.82 78.44
Element x y z (fractional)
Sr  0.000  0.000  0.000
Sr  0.302  0.302  0.000
Sr  0.698  0.698  0.000
Zn  0.311  0.500  0.811
Zn  0.500  0.000  0.500
Zn  0.689  0.500  0.189
Ga  0.020  0.656  0.363
Ga  0.138  0.857  0.281
Ga  0.293  0.656  0.637
Ga  0.425  0.143  0.281
Ga  0.575  0.857  0.719
Ga  0.707  0.344  0.363
Ga  0.862  0.143  0.719
Ga  0.980  0.344  0.637

Principal peaks in the range 10 to 80 degrees two-theta, sorted by position:
2θ (°)	I/Imax
32.53	16
33.72	100
34.77	17
36.45	28
39.96	36
40.79	21
42.37	16
43.66	17
58.42	15
65.48	16